1.
This entry pairs a crystal structure of Ac6Os with its calculated X-ray powder pattern. Radiation: CuKα. Structure: DFT lattice parameters and positions (PBE).
Peak positions follow from Bragg's law for the DFT cell and can differ from measured ones.

Top 10 peaks for 2θ = 10–90°, in order of rising 2θ:
- 25.7 deg, 3.461 Å, rel. 28, hkl 1 0 2
- 26.3 deg, 3.383 Å, rel. 27, hkl 4 0 0
- 28.2 deg, 3.164 Å, rel. 100, hkl 2 3 1
- 31.9 deg, 2.804 Å, rel. 38, hkl 3 0 2
- 41.8 deg, 2.159 Å, rel. 16, hkl 5 0 2
- 43.7 deg, 2.070 Å, rel. 12, hkl 0 6 0
- 43.8 deg, 2.065 Å, rel. 24, hkl 0 3 3
- 47.7 deg, 1.908 Å, rel. 27, hkl 6 3 1
- 51.9 deg, 1.763 Å, rel. 17, hkl 4 3 3
- 72.2 deg, 1.309 Å, rel. 17, hkl 8 3 3

Cell and atoms:
```
data_Ac6Os
_space_group_name_H-M_alt 'P n m a'
_space_group_IT_number 62
_space_group_name_Hall '-P 2ac 2n'
_cell_length_a 13.534
_cell_length_b 12.420
_cell_length_c 7.148
_cell_angle_alpha 90.00
_cell_angle_beta 90.00
_cell_angle_gamma 90.00
loop_
_atom_site_label
_atom_site_type_symbol
_atom_site_fract_x
_atom_site_fract_y
_atom_site_fract_z
Ac1 Ac 0.002 0.077 0.247
Ac2 Ac 0.005 0.250 0.755
Ac3 Ac 0.247 0.586 0.416
Ac4 Ac 0.250 0.250 0.409
Os1 Os 0.116 0.750 0.587
```


2.
This entry pairs a crystal structure of PrTm2Ir2 with its calculated X-ray powder pattern. Radiation: CuKα. Structure: DFT lattice parameters and positions (PBE).
Peak positions follow from Bragg's law for the DFT cell and can differ from measured ones.

Top 10 peaks for 2θ = 10–90°, in order of rising 2θ:
- 17.0 deg, 5.205 Å, rel. 36, hkl 0 0 2
- 32.1 deg, 2.786 Å, rel. 98, hkl 1 1 2
- 32.7 deg, 2.742 Å, rel. 100, hkl 0 1 3
- 35.9 deg, 2.503 Å, rel. 56, hkl 2 0 -2
- 40.3 deg, 2.236 Å, rel. 67, hkl 0 2 0
- 40.8 deg, 2.212 Å, rel. 68, hkl 2 1 1
- 41.3 deg, 2.184 Å, rel. 32, hkl 2 1 -2
- 42.1 deg, 2.146 Å, rel. 64, hkl 1 1 -4
- 48.5 deg, 1.877 Å, rel. 34, hkl 1 0 5
- 55.1 deg, 1.667 Å, rel. 39, hkl 2 2 -2

Cell and atoms:
```
data_PrTm2Ir2
_space_group_name_H-M_alt 'P 1 21/m 1'
_space_group_IT_number 11
_space_group_name_Hall '-P 2yb'
_cell_length_a 5.420
_cell_length_b 4.472
_cell_length_c 10.468
_cell_angle_alpha 90.00
_cell_angle_beta 96.01
_cell_angle_gamma 90.00
loop_
_atom_site_label
_atom_site_type_symbol
_atom_site_fract_x
_atom_site_fract_y
_atom_site_fract_z
Pr1 Pr 0.080 0.250 0.281
Tm1 Tm 0.268 0.750 0.025
Tm2 Tm 0.372 0.250 0.610
Ir1 Ir 0.158 0.750 0.470
Ir2 Ir 0.206 0.250 0.866
```